(1)
This entry pairs a crystal structure of CsTbO3 with its theoretical powder X-ray diffraction pattern. Radiation: Cu Kα (λ = 1.5418 Å). Structure: the GGA-PBE geometry in the Materials Project.
Intensities are scaled so that the largest is 100.

Crystal structure
```
data_CsTbO3
_chemical_formula_sum 'Cs1 Tb1 O3'
_cell_length_a 4.594
_cell_length_b 4.594
_cell_length_c 4.594
_cell_angle_alpha 90.00
_cell_angle_beta 90.00
_cell_angle_gamma 90.00
_symmetry_space_group_name_H-M 'P m -3 m'
_symmetry_Int_Tables_number 221
_symmetry_space_group_name_Hall '-P 4 2 3'
loop_
_atom_site_label
_atom_site_type_symbol
_atom_site_fract_x
_atom_site_fract_y
_atom_site_fract_z
Cs1 Cs 0.000 0.000 0.000
Tb1 Tb 0.500 0.500 0.500
O1 O 0.000 0.500 0.500
```

Largest 10 diffraction maxima, most intense first, 2θ = 10–90°:
2theta	d [Å]	intensity
27.5	3.248	100.0
48.5	1.875	42.5
39.2	2.297	29.8
77.8	1.228	21.9
56.7	1.624	19.5
64.1	1.453	18.8
71.1	1.326	6.4
19.3	4.594	3.3
84.3	1.148	3.0
44.1	2.054	1.5



(2)
This entry pairs a crystal structure of Cs2Te4O9 with its theoretical powder X-ray diffraction pattern. Radiation: Cu Kα (λ = 1.5418 Å). Structure: the GGA-PBE geometry in the Materials Project.
Intensities are scaled so that the largest is 100.

Crystal structure
```
data_Cs2Te4O9
_chemical_formula_sum 'Cs16 Te32 O72'
_cell_length_a 10.963
_cell_length_b 10.963
_cell_length_c 20.907
_cell_angle_alpha 90.00
_cell_angle_beta 90.00
_cell_angle_gamma 90.00
_symmetry_space_group_name_H-M 'I -4 2 d'
_symmetry_Int_Tables_number 122
_symmetry_space_group_name_Hall 'I -4 2bw'
loop_
_atom_site_label
_atom_site_type_symbol
_atom_site_fract_x
_atom_site_fract_y
_atom_site_fract_z
Cs1 Cs 0.000 0.000 0.245
Cs2 Cs 0.222 0.250 0.625
Te1 Te 0.108 0.136 0.428
Te2 Te 0.123 0.126 0.939
O1 O 0.000 0.000 0.397
O2 O 0.008 0.703 0.767
O3 O 0.054 0.215 0.347
O4 O 0.068 0.172 0.022
O5 O 0.174 0.713 0.053
```

Largest 10 diffraction maxima, most intense first, 2θ = 10–90°:
2theta	d [Å]	intensity
27.1	3.291	100.0
28.7	3.113	49.0
28.1	3.178	44.8
48.1	1.891	28.8
42.9	2.106	22.4
23.5	3.783	22.4
55.9	1.645	16.8
46.9	1.938	16.6
43.6	2.076	14.0
14.2	6.227	13.0



(3)
This entry pairs a crystal structure of Cs6Ti2O7 with its theoretical powder X-ray diffraction pattern. Radiation: Cu Kα (λ = 1.5418 Å). Structure: the GGA-PBE geometry in the Materials Project.
Intensities are scaled so that the largest is 100.

Crystal structure
```
data_Cs6Ti2O7
_chemical_formula_sum 'Cs12 Ti4 O14'
_cell_length_a 7.328
_cell_length_b 10.115
_cell_length_c 12.373
_cell_angle_alpha 90.00
_cell_angle_beta 124.67
_cell_angle_gamma 90.00
_symmetry_space_group_name_H-M 'P 1 21/c 1'
_symmetry_Int_Tables_number 14
loop_
_symmetry_equiv_pos_as_xyz
'x,y,z'
'-x,-y,-z'
'-x,y+1/2,-z+1/2'
'x,-y+1/2,z+1/2'
loop_
_atom_site_label
_atom_site_type_symbol
_atom_site_fract_x
_atom_site_fract_y
_atom_site_fract_z
Cs1 Cs 0.045 0.150 0.425
Cs2 Cs 0.204 0.525 0.450
Cs3 Cs 0.406 0.210 0.280
Ti1 Ti 0.321 0.635 0.872
O1 O 0.068 0.662 0.865
O2 O 0.254 0.589 0.711
O3 O 0.489 0.715 0.426
O4 O 0.500 0.000 0.500
```

Largest 10 diffraction maxima, most intense first, 2θ = 10–90°:
2theta	d [Å]	intensity
27.9	3.199	100.0
25.9	3.444	58.5
28.7	3.112	54.7
30.7	2.917	49.5
27.1	3.289	42.5
34.0	2.638	39.9
24.8	3.587	38.4
30.4	2.937	34.2
23.2	3.826	26.0
37.5	2.399	22.9



(4)
This entry pairs a crystal structure of CsTi6O12 with its theoretical powder X-ray diffraction pattern. Radiation: Cu Kα (λ = 1.5418 Å). Structure: the GGA-PBE geometry in the Materials Project.
Intensities are scaled so that the largest is 100.

Crystal structure
```
data_CsTi6O12
_chemical_formula_sum 'Cs4 Ti24 O48'
_cell_length_a 10.403
_cell_length_b 10.403
_cell_length_c 8.952
_cell_angle_alpha 90.00
_cell_angle_beta 90.00
_cell_angle_gamma 90.00
_symmetry_space_group_name_H-M 'I 4/m'
_symmetry_Int_Tables_number 87
_symmetry_space_group_name_Hall '-I 4'
loop_
_atom_site_label
_atom_site_type_symbol
_atom_site_fract_x
_atom_site_fract_y
_atom_site_fract_z
Cs1 Cs 0.000 0.000 0.209
Ti1 Ti 0.152 0.334 0.500
Ti2 Ti 0.152 0.335 0.166
O1 O 0.038 0.666 0.500
O2 O 0.038 0.667 0.167
O3 O 0.157 0.208 0.000
O4 O 0.158 0.210 0.334
```

Largest 10 diffraction maxima, most intense first, 2θ = 10–90°:
2theta	d [Å]	intensity
27.1	3.290	100.0
35.7	2.512	35.2
39.9	2.262	29.7
56.8	1.622	26.7
23.3	3.824	22.6
24.2	3.678	22.5
47.2	1.927	21.7
52.8	1.734	20.7
65.4	1.427	19.3
38.7	2.326	17.7



(5)
This entry pairs a crystal structure of CsTi8O16 with its theoretical powder X-ray diffraction pattern. Radiation: Cu Kα (λ = 1.5418 Å). Structure: the GGA-PBE geometry in the Materials Project.
Intensities are scaled so that the largest is 100.

Crystal structure
```
data_CsTi8O16
_chemical_formula_sum 'Cs4 Ti32 O64'
_cell_length_a 20.761
_cell_length_b 5.966
_cell_length_c 14.678
_cell_angle_alpha 90.00
_cell_angle_beta 134.97
_cell_angle_gamma 90.00
_symmetry_space_group_name_H-M 'C 1 2/c 1'
_symmetry_Int_Tables_number 15
loop_
_symmetry_equiv_pos_as_xyz
'x,y,z'
'-x,-y,-z'
'-x,y,-z+1/2'
'x,-y,z+1/2'
'x+1/2,y+1/2,z'
'-x+1/2,-y+1/2,-z'
'-x+1/2,y+1/2,-z+1/2'
'x+1/2,-y+1/2,z+1/2'
loop_
_atom_site_label
_atom_site_type_symbol
_atom_site_fract_x
_atom_site_fract_y
_atom_site_fract_z
Cs1 Cs 0.000 0.157 0.250
Ti1 Ti 0.090 0.374 0.600
Ti2 Ti 0.092 0.125 0.096
Ti3 Ti 0.241 0.375 0.081
Ti4 Ti 0.246 0.125 0.588
O1 O 0.026 0.124 0.593
O2 O 0.026 0.374 0.092
O3 O 0.147 0.127 0.582
O4 O 0.149 0.376 0.085
O5 O 0.184 0.124 0.960
O6 O 0.184 0.375 0.460
O7 O 0.185 0.124 0.287
O8 O 0.186 0.375 0.788
```

Largest 10 diffraction maxima, most intense first, 2θ = 10–90°:
2theta	d [Å]	intensity
27.2	3.283	100.0
35.8	2.510	44.4
39.9	2.259	37.1
56.9	1.619	33.5
20.1	4.416	30.2
47.2	1.924	27.2
16.0	5.527	24.6
65.5	1.425	24.3
52.9	1.730	22.5
24.2	3.671	18.8



(6)
This entry pairs a crystal structure of CsTiO3 with its theoretical powder X-ray diffraction pattern. Radiation: Cu Kα (λ = 1.5418 Å). Structure: the GGA-PBE geometry in the Materials Project.
Intensities are scaled so that the largest is 100.

Crystal structure
```
data_CsTiO3
_chemical_formula_sum 'Cs1 Ti1 O3'
_cell_length_a 4.107
_cell_length_b 4.107
_cell_length_c 4.107
_cell_angle_alpha 90.00
_cell_angle_beta 90.00
_cell_angle_gamma 90.00
_symmetry_space_group_name_H-M 'P m -3 m'
_symmetry_Int_Tables_number 221
_symmetry_space_group_name_Hall '-P 4 2 3'
loop_
_atom_site_label
_atom_site_type_symbol
_atom_site_fract_x
_atom_site_fract_y
_atom_site_fract_z
Cs1 Cs 0.000 0.000 0.000
Ti1 Ti 0.500 0.500 0.500
O1 O 0.000 0.500 0.500
```

Largest 10 diffraction maxima, most intense first, 2θ = 10–90°:
2theta	d [Å]	intensity
30.8	2.904	100.0
54.7	1.677	38.6
44.1	2.053	35.2
37.9	2.371	25.2
64.1	1.452	21.0
89.2	1.098	20.4
21.6	4.107	18.5
72.8	1.299	16.7
49.6	1.837	9.6
77.0	1.238	8.3



(7)
This entry pairs a crystal structure of CsTlO3 with its theoretical powder X-ray diffraction pattern. Radiation: Cu Kα (λ = 1.5418 Å). Structure: the GGA-PBE geometry in the Materials Project.
Intensities are scaled so that the largest is 100.

Crystal structure
```
data_CsTlO3
_chemical_formula_sum 'Cs1 Tl1 O3'
_cell_length_a 4.535
_cell_length_b 4.535
_cell_length_c 4.535
_cell_angle_alpha 90.00
_cell_angle_beta 90.00
_cell_angle_gamma 90.00
_symmetry_space_group_name_H-M 'P m -3 m'
_symmetry_Int_Tables_number 221
_symmetry_space_group_name_Hall '-P 4 2 3'
loop_
_atom_site_label
_atom_site_type_symbol
_atom_site_fract_x
_atom_site_fract_y
_atom_site_fract_z
Cs1 Cs 0.000 0.000 0.000
Tl1 Tl 0.500 0.500 0.500
O1 O 0.000 0.500 0.500
```

Largest 10 diffraction maxima, most intense first, 2θ = 10–90°:
2theta	d [Å]	intensity
27.8	3.207	100.0
49.2	1.851	42.8
39.8	2.268	28.4
79.0	1.212	22.3
65.0	1.434	19.0
57.5	1.603	18.7
19.6	4.535	8.8
72.2	1.309	6.2
44.7	2.028	4.4
85.7	1.134	3.0



(8)
This entry pairs a crystal structure of CsTlO2 with its theoretical powder X-ray diffraction pattern. Radiation: Cu Kα (λ = 1.5418 Å). Structure: the GGA-PBE geometry in the Materials Project.
Intensities are scaled so that the largest is 100.

Crystal structure
```
data_CsTlO2
_chemical_formula_sum 'Cs2 Tl2 O4'
_cell_length_a 3.6058
_cell_length_b 3.6058
_cell_length_c 13.5032
_cell_angle_alpha 90.00
_cell_angle_beta 90.00
_cell_angle_gamma 120.00
_symmetry_space_group_name_H-M 'P 63/m m c'
_symmetry_Int_Tables_number 194
_symmetry_space_group_name_Hall '-P 6c 2c'
loop_
_atom_site_label
_atom_site_type_symbol
_atom_site_fract_x
_atom_site_fract_y
_atom_site_fract_z
Cs1 Cs 0.3333 0.6667 0.2500
Tl1 Tl 0.0000 0.0000 0.0000
O1 O 0.3333 0.6667 0.5869
```

Largest 10 diffraction maxima, most intense first, 2θ = 10–90°:
2theta	d [Å]	intensity
31.6	2.834	100.0
26.4	3.376	38.2
50.0	1.826	33.1
58.0	1.590	26.9
50.6	1.803	26.1
35.0	2.566	23.1
39.3	2.292	17.7
29.4	3.042	17.4
60.9	1.521	15.8
13.1	6.752	14.1